For BaTe6, a DFT-relaxed cell (PBE, Alexandria) gives the calculated PXRD pattern in this record (Cu Kα X-rays).

Structural model:
```
BaTe6
1.0
-4.342 4.342 4.342
4.342 -4.342 4.342
4.342 4.342 -4.342
Ba Te
1 6
direct
0.000 0.000 0.000
0.250 0.500 0.750
0.250 0.750 0.500
0.500 0.250 0.750
0.500 0.750 0.250
0.750 0.250 0.500
0.750 0.500 0.250
```

Peak list (6 most intense, 2θ from 10° to 90°, in order of rising 2θ)
d (Å)  I (rel.)
4.342  41.2
3.545  100.0
2.507  34.1
2.321  63.0
2.171  34.4
1.535  22.8